This entry pairs a crystal structure of LuCo5Si3 with its simulated powder X-ray diffraction pattern. Radiation: Cu Kα X-rays. Structure: a DFT-relaxed cell (GGA-PBE, the Materials Project).
Neutral-atom scattering factors, no anomalous dispersion.

Largest 6 diffraction maxima, by angle, 2θ from 15° to 90°:
| h k l | 2theta | I/Imax |
| --- | --- | --- |
| 1 3 1 | 35.41 | 14 |
| 4 0 1 | 37.54 | 17 |
| 3 2 1 | 39.57 | 100 |
| 0 0 2 | 50.03 | 21 |
| 1 7 0 | 54.49 | 16 |
| 5 3 1 | 56.61 | 14 |

Structural model:
Cell lengths 14.6794, 14.6794, 3.6465 Å; angles 90.00, 90.00, 120.00 degrees
Space group P6_3/m (No. 176)
Symmetry-distinct sites (fractional):
1 Lu 0.1008 0.7064 0.2500 (multiplicity 6)
2 Co 0.0287 0.8980 0.2500 (multiplicity 6)
3 Co 0.0482 0.2678 0.2500 (multiplicity 6)
4 Co 0.0744 0.5342 0.7500 (multiplicity 6)
5 Co 0.1481 0.4136 0.7500 (multiplicity 6)
6 Co 0.2247 0.5723 0.2500 (multiplicity 6)
7 Si 0.0611 0.4313 0.2500 (multiplicity 6)
8 Si 0.1185 0.8692 0.7500 (multiplicity 6)
9 Si 0.2383 0.6821 0.7500 (multiplicity 6)



This entry pairs a crystal structure of Lu12Co31Sn16 with its simulated powder X-ray diffraction pattern. Radiation: Cu Kα X-rays. Structure: a DFT-relaxed cell (GGA-PBE, the Materials Project).
Neutral-atom scattering factors, no anomalous dispersion.

Largest 6 diffraction maxima, by angle, 2θ from 15° to 90°:
| h k l | 2theta | I/Imax |
| --- | --- | --- |
| 2 0 4 | 33.70 | 65 |
| 2 2 -2 | 33.79 | 100 |
| 1 3 3 | 37.72 | 38 |
| 3 1 -1 | 38.12 | 36 |
| 0 2 6 | 41.28 | 84 |
| 0 4 0 | 41.49 | 41 |

Structural model:
Cell lengths 7.4541, 8.7067, 15.1742 Å; angles 90.00, 90.04, 90.00 degrees
Space group Pm (No. 6)
Symmetry-distinct sites (fractional):
1 Lu 0.0000 0.0000 0.0000 (multiplicity 1)
2 Lu 0.0003 0.2874 0.2862 (multiplicity 2)
3 Lu 0.0044 0.2096 0.7876 (multiplicity 2)
4 Lu 0.0035 0.5000 0.4975 (multiplicity 1)
5 Lu 0.4939 0.2852 0.7630 (multiplicity 2)
6 Lu 0.4944 0.5000 0.5472 (multiplicity 1)
7 Lu 0.5002 0.0000 0.0489 (multiplicity 1)
8 Lu 0.5015 0.2125 0.2623 (multiplicity 2)
9 Co 0.1512 0.2421 0.6051 (multiplicity 2)
10 Co 0.1511 0.5000 0.8622 (multiplicity 1)
11 Co 0.1540 0.0000 0.3626 (multiplicity 1)
12 Co 0.1554 0.2577 0.1047 (multiplicity 2)
13 Co 0.2124 0.5000 0.0233 (multiplicity 1)
14 Co 0.2128 0.0000 0.5244 (multiplicity 1)
15 Co 0.3413 0.0000 0.8565 (multiplicity 1)
16 Co 0.3424 0.5000 0.3576 (multiplicity 1)
17 Co 0.4687 0.3488 0.0743 (multiplicity 2)
18 Co 0.4704 0.0000 0.4248 (multiplicity 1)
19 Co 0.4705 0.1519 0.5750 (multiplicity 2)
20 Co 0.4712 0.5000 0.9239 (multiplicity 1)
21 Co 0.6571 0.5000 0.1862 (multiplicity 1)
22 Co 0.6584 0.2591 0.9426 (multiplicity 2)
23 Co 0.6602 0.0000 0.6855 (multiplicity 1)
24 Co 0.6596 0.2433 0.4449 (multiplicity 2)
25 Co 0.7133 0.5000 0.0235 (multiplicity 1)
26 Co 0.7138 0.0000 0.5264 (multiplicity 1)
27 Co 0.8475 0.0000 0.1916 (multiplicity 1)
28 Co 0.9665 0.0000 0.6231 (multiplicity 1)
29 Co 0.9672 0.1514 0.4747 (multiplicity 2)
30 Co 0.9667 0.3498 0.9737 (multiplicity 2)
31 Co 0.9698 0.5000 0.1242 (multiplicity 1)
32 Sn 0.1940 0.5000 0.6907 (multiplicity 1)
33 Sn 0.1979 0.0000 0.1908 (multiplicity 1)
34 Sn 0.2868 0.2420 0.9386 (multiplicity 2)
35 Sn 0.2872 0.2564 0.4379 (multiplicity 2)
36 Sn 0.2877 0.0000 0.6948 (multiplicity 1)
37 Sn 0.2879 0.5000 0.1960 (multiplicity 1)
38 Sn 0.6960 0.0000 0.8582 (multiplicity 1)
39 Sn 0.6960 0.5000 0.3576 (multiplicity 1)
40 Sn 0.7854 0.2420 0.1107 (multiplicity 2)
41 Sn 0.7856 0.0000 0.3528 (multiplicity 1)
42 Sn 0.7890 0.2713 0.6149 (multiplicity 2)
43 Sn 0.7897 0.5000 0.8439 (multiplicity 1)



This entry pairs a crystal structure of LuCoSn with its simulated powder X-ray diffraction pattern. Radiation: Cu Kα X-rays. Structure: a DFT-relaxed cell (GGA-PBE, the Materials Project).
Neutral-atom scattering factors, no anomalous dispersion.

Largest 6 diffraction maxima, by angle, 2θ from 15° to 90°:
| h k l | 2theta | I/Imax |
| --- | --- | --- |
| 1 1 2 | 33.69 | 46 |
| 2 1 1 | 34.92 | 100 |
| 2 0 2 | 35.15 | 38 |
| 0 2 0 | 40.54 | 38 |
| 0 1 3 | 41.16 | 48 |
| 3 1 4 | 67.42 | 22 |

Structural model:
Cell lengths 6.9224, 4.4504, 7.5607 Å; angles 90.00, 90.00, 90.00 degrees
Space group Pnma (No. 62)
Symmetry-distinct sites (fractional):
1 Lu 0.0132 0.2500 0.2022 (multiplicity 4)
2 Co 0.1962 0.7500 0.4165 (multiplicity 4)
3 Sn 0.1937 0.2500 0.5878 (multiplicity 4)



This entry pairs a crystal structure of Lu4CoSn8 with its simulated powder X-ray diffraction pattern. Radiation: Cu Kα X-rays. Structure: a DFT-relaxed cell (GGA-PBE, the Materials Project).
Neutral-atom scattering factors, no anomalous dispersion.

Largest 6 diffraction maxima, by angle, 2θ from 15° to 90°:
| h k l | 2theta | I/Imax |
| --- | --- | --- |
| 0 0 6 | 32.24 | 18 |
| 1 1 3 | 33.14 | 100 |
| 0 2 0 | 41.05 | 18 |
| 2 0 0 | 41.46 | 17 |
| 1 3 3 | 69.79 | 12 |
| 3 1 3 | 70.36 | 12 |

Structural model:
Cell lengths 4.3554, 4.3972, 16.6605 Å; angles 90.00, 90.00, 90.00 degrees
Space group Pmm2 (No. 25)
Symmetry-distinct sites (fractional):
1 Lu 0.0000 0.0000 0.0000 (multiplicity 1)
2 Lu 0.0000 0.5000 0.4976 (multiplicity 1)
3 Lu 0.5000 0.0000 0.2012 (multiplicity 1)
4 Lu 0.5000 0.5000 0.7025 (multiplicity 1)
5 Co 0.5000 0.0000 0.4102 (multiplicity 1)
6 Sn 0.0000 0.0000 0.3410 (multiplicity 1)
7 Sn 0.0000 0.0000 0.6728 (multiplicity 1)
8 Sn 0.0000 0.5000 0.1639 (multiplicity 1)
9 Sn 0.0000 0.5000 0.8550 (multiplicity 1)
10 Sn 0.5000 0.0000 0.5554 (multiplicity 1)
11 Sn 0.5000 0.0000 0.8460 (multiplicity 1)
12 Sn 0.5000 0.5000 0.0377 (multiplicity 1)
13 Sn 0.5000 0.5000 0.3371 (multiplicity 1)



This entry pairs a crystal structure of MgCo3 with its simulated powder X-ray diffraction pattern. Radiation: Cu Kα X-rays. Structure: a DFT-relaxed cell (GGA-PBE, the Materials Project).
Neutral-atom scattering factors, no anomalous dispersion.

Largest 6 diffraction maxima, by angle, 2θ from 15° to 90°:
| h k l | 2theta | I/Imax |
| --- | --- | --- |
| 2 0 0 | 39.93 | 25 |
| 0 0 2 | 43.10 | 27 |
| 2 0 1 | 45.62 | 100 |
| 2 2 0 | 72.50 | 14 |
| 2 0 3 | 80.81 | 16 |
| 2 2 2 | 88.23 | 17 |

Structural model:
Cell lengths 5.2147, 5.2147, 4.1978 Å; angles 90.00, 90.00, 120.00 degrees
Space group P6_3/mmc (No. 194)
Symmetry-distinct sites (fractional):
1 Mg 0.3333 0.6667 0.2500 (multiplicity 2)
2 Co 0.1594 0.3188 0.7500 (multiplicity 6)



This entry pairs a crystal structure of Mg14MnCo with its simulated powder X-ray diffraction pattern. Radiation: Cu Kα X-rays. Structure: a DFT-relaxed cell (GGA-PBE, the Materials Project).
Neutral-atom scattering factors, no anomalous dispersion.

Largest 6 diffraction maxima, by angle, 2θ from 15° to 90°:
| h k l | 2theta | I/Imax |
| --- | --- | --- |
| 0 2 2 | 33.40 | 26 |
| 4 0 0 | 36.80 | 23 |
| 2 0 4 | 38.27 | 100 |
| 4 2 2 | 50.54 | 15 |
| 0 2 6 | 59.65 | 11 |
| 6 0 4 | 67.26 | 14 |

Structural model:
Cell lengths 9.7692, 6.1891, 10.7447 Å; angles 90.00, 90.00, 90.00 degrees
Space group Amm2 (No. 38)
Symmetry-distinct sites (fractional):
1 Mg 0.0000 0.0000 0.9996 (multiplicity 2)
2 Mg 0.0000 0.0000 0.5000 (multiplicity 2)
3 Mg 0.0000 0.2503 0.2536 (multiplicity 4)
4 Mg 0.2559 0.0000 0.1633 (multiplicity 4)
5 Mg 0.2589 0.0000 0.6630 (multiplicity 4)
6 Mg 0.2763 0.2499 0.4250 (multiplicity 8)
7 Mg 0.5000 0.2479 0.2444 (multiplicity 4)
8 Mn 0.5000 0.0000 0.0085 (multiplicity 2)
9 Co 0.5000 0.0000 0.5078 (multiplicity 2)